Structure and theoretical powder XRD pattern of RbCaMnI5 (a crystal structure in Alexandria, relaxed with PBE; λ = 1.5418 Å (Cu Kα)).
Intensities are scaled so that the largest is 100.

Top 10 peaks for 2θ = 15–90°, in order of rising 2θ:
d [Å]	I_rel
4.162	18
3.795	46
3.634	100
3.368	30
3.263	23
2.974	15
2.745	20
2.277	22
1.975	16
1.886	14

Structure:
```
RbCaMnI5
1.0
5.239 -6.874 0.000
5.239 6.874 0.000
-4.574 0.000 10.376
Rb Ca Mn I
2 2 2 10
direct
0.153 0.847 0.750 Rb
0.847 0.153 0.250 Rb
0.500 0.500 0.000 Ca
0.500 0.500 0.500 Ca
0.184 0.816 0.250 Mn
0.816 0.184 0.750 Mn
0.115 0.252 0.936 I
0.174 0.591 0.380 I
0.252 0.115 0.436 I
0.409 0.826 0.120 I
0.417 0.583 0.750 I
0.583 0.417 0.250 I
0.591 0.174 0.880 I
0.748 0.885 0.564 I
0.826 0.409 0.620 I
0.885 0.748 0.064 I
```

Structure and theoretical powder XRD pattern of PmTlZnF6 (a crystal structure in Alexandria, relaxed with PBE; λ = 1.5418 Å (Cu Kα)).
Intensities are scaled so that the largest is 100.

Top 10 peaks for 2θ = 15–90°, in order of rising 2θ:
d [Å]	I_rel
5.206	30
3.742	46
3.708	23
3.283	100
3.190	39
3.173	37
3.020	46
2.085	20
2.049	32
1.871	39

Structure:
```
PmTlZnF6
1.0
-3.708 3.912 5.206
3.708 -3.912 5.206
3.708 3.912 -5.206
Pm Tl Zn F
2 2 2 12
direct
0.000 0.000 0.000 Pm
0.500 0.000 0.500 Pm
0.333 0.583 0.750 Tl
0.667 0.417 0.250 Tl
0.000 0.000 0.500 Zn
0.000 0.500 0.000 Zn
0.056 0.386 0.210 F
0.056 0.846 0.670 F
0.094 0.844 0.250 F
0.324 0.154 0.710 F
0.324 0.614 0.170 F
0.365 0.115 0.250 F
0.635 0.885 0.750 F
0.676 0.386 0.830 F
0.676 0.846 0.290 F
0.906 0.156 0.750 F
0.944 0.154 0.330 F
0.944 0.614 0.790 F
```